Computed powder XRD pattern
Compound: Te2MoWSeS
Radiation: λ = 1.5418 Å (Cu Kα)
Structure: a DFT-relaxed cell (PBE, the Materials Project)
Kinematic intensities with the Lorentz-polarization factor, no thermal factor.

Principal peaks in the range 2θ from 10° to 90°, sorted by position:
2θ = 11.42°, rel. 100; 2θ = 30.38°, rel. 53; 2θ = 35.69°, rel. 92; 2θ = 43.19°, rel. 52; 2θ = 44.96°, rel. 20; 2θ = 53.95°, rel. 37

Structure:
```
data_Te2MoWSeS
_cell_length_a 3.4000
_cell_length_b 3.4000
_cell_length_c 38.7384
_cell_angle_alpha 90.00
_cell_angle_beta 90.00
_cell_angle_gamma 120.00
_symmetry_space_group_name_H-M 'P 3 m 1'
_symmetry_Int_Tables_number 156
loop_
_symmetry_equiv_pos_as_xyz
'x,y,z'
'-y,x-y,z'
'-x+y,-x,z'
'-y,-x,z'
'-x+y,y,z'
'x,x-y,z'
loop_
_atom_site_label
_atom_site_fract_x
_atom_site_fract_y
_atom_site_fract_z
Te1 0.0000 0.0000 0.0000
Te2 0.0000 0.0000 0.0973
Te3 0.0000 0.0000 0.3761
Te4 0.0000 0.0000 0.4727
Mo1 0.0000 0.0000 0.8608
Mo2 0.3333 0.6667 0.4244
W1 0.0000 0.0000 0.2366
W2 0.3333 0.6667 0.0487
Se1 0.3333 0.6667 0.1939
Se2 0.3333 0.6667 0.2792
S1 0.3333 0.6667 0.8220
S2 0.3333 0.6667 0.8996
```

***

Computed powder XRD pattern
Compound: TeMoWSe2S
Radiation: λ = 1.5418 Å (Cu Kα)
Structure: a DFT-relaxed cell (PBE, the Materials Project)
Kinematic intensities with the Lorentz-polarization factor, no thermal factor.

Principal peaks in the range 2θ from 10° to 90°, sorted by position:
2θ = 11.61°, rel. 100; 2θ = 13.95°, rel. 24; 2θ = 30.91°, rel. 44; 2θ = 36.31°, rel. 78; 2θ = 43.96°, rel. 46; 2θ = 54.93°, rel. 31

Structure:
```
data_TeMoWSe2S
_cell_length_a 3.3437
_cell_length_b 3.3437
_cell_length_c 38.0957
_cell_angle_alpha 90.00
_cell_angle_beta 90.00
_cell_angle_gamma 120.00
_symmetry_space_group_name_H-M 'P 3 m 1'
_symmetry_Int_Tables_number 156
loop_
_symmetry_equiv_pos_as_xyz
'x,y,z'
'-y,x-y,z'
'-x+y,-x,z'
'-y,-x,z'
'-x+y,y,z'
'x,x-y,z'
loop_
_atom_site_label
_atom_site_fract_x
_atom_site_fract_y
_atom_site_fract_z
Te1 0.0000 0.0000 0.0000
Te2 0.0000 0.0000 0.0996
Mo1 0.0000 0.0000 0.4861
Mo2 0.3333 0.6667 0.0498
W1 0.0000 0.0000 0.8618
W2 0.3333 0.6667 0.6740
Se1 0.0000 0.0000 0.6300
Se2 0.0000 0.0000 0.7180
Se3 0.3333 0.6667 0.8178
Se4 0.3333 0.6667 0.9059
S1 0.3333 0.6667 0.4463
S2 0.3333 0.6667 0.5259
```

***

Computed powder XRD pattern
Compound: Te2Mo3WSe4S2
Radiation: λ = 1.5418 Å (Cu Kα)
Structure: a DFT-relaxed cell (PBE, the Materials Project)
Kinematic intensities with the Lorentz-polarization factor, no thermal factor.

Principal peaks in the range 2θ from 10° to 90°, sorted by position:
2θ = 11.64°, rel. 100; 2θ = 30.90°, rel. 47; 2θ = 36.33°, rel. 90; 2θ = 39.10°, rel. 16; 2θ = 44.00°, rel. 51; 2θ = 54.94°, rel. 31

Structure:
```
data_Te2Mo3WSe4S2
_cell_length_a 3.3431
_cell_length_b 3.3431
_cell_length_c 38.0283
_cell_angle_alpha 90.00
_cell_angle_beta 90.00
_cell_angle_gamma 120.00
_symmetry_space_group_name_H-M 'P 3 m 1'
_symmetry_Int_Tables_number 156
loop_
_symmetry_equiv_pos_as_xyz
'x,y,z'
'-y,x-y,z'
'-x+y,-x,z'
'-y,-x,z'
'-x+y,y,z'
'x,x-y,z'
loop_
_atom_site_label
_atom_site_fract_x
_atom_site_fract_y
_atom_site_fract_z
Te1 0.0000 0.0000 0.0000
Te2 0.0000 0.0000 0.0997
Mo1 0.0000 0.0000 0.2377
Mo2 0.0000 0.0000 0.8619
Mo3 0.3333 0.6667 0.0499
W1 0.3333 0.6667 0.4256
Se1 0.0000 0.0000 0.3816
Se2 0.0000 0.0000 0.4696
Se3 0.3333 0.6667 0.8182
Se4 0.3333 0.6667 0.9057
S1 0.3333 0.6667 0.1978
S2 0.3333 0.6667 0.2776
```

***

Computed powder XRD pattern
Compound: Te2MoWSeS
Radiation: λ = 1.5418 Å (Cu Kα)
Structure: a DFT-relaxed cell (PBE, the Materials Project)
Kinematic intensities with the Lorentz-polarization factor, no thermal factor.

Principal peaks in the range 2θ from 10° to 90°, sorted by position:
2θ = 10.92°, rel. 100; 2θ = 13.11°, rel. 22; 2θ = 30.43°, rel. 43; 2θ = 35.30°, rel. 66; 2θ = 42.26°, rel. 49; 2θ = 54.03°, rel. 27

Structure:
```
data_Te2MoWSeS
_cell_length_a 3.3949
_cell_length_b 3.3949
_cell_length_c 40.5094
_cell_angle_alpha 90.00
_cell_angle_beta 90.00
_cell_angle_gamma 120.00
_symmetry_space_group_name_H-M 'P 3 m 1'
_symmetry_Int_Tables_number 156
loop_
_symmetry_equiv_pos_as_xyz
'x,y,z'
'-y,x-y,z'
'-x+y,-x,z'
'-y,-x,z'
'-x+y,y,z'
'x,x-y,z'
loop_
_atom_site_label
_atom_site_fract_x
_atom_site_fract_y
_atom_site_fract_z
Te1 0.0000 0.0000 0.0000
Te2 0.0000 0.0000 0.0925
Te3 0.3333 0.6667 0.8074
Te4 0.3333 0.6667 0.9005
Mo1 0.0000 0.0000 0.4803
Mo2 0.3333 0.6667 0.0463
W1 0.0000 0.0000 0.8540
W2 0.3333 0.6667 0.6682
Se1 0.3333 0.6667 0.4395
Se2 0.3333 0.6667 0.5210
S1 0.0000 0.0000 0.6310
S2 0.0000 0.0000 0.7054
```

***

Computed powder XRD pattern
Compound: Te2Mo3WSe4S2
Radiation: λ = 1.5418 Å (Cu Kα)
Structure: a DFT-relaxed cell (PBE, the Materials Project)
Kinematic intensities with the Lorentz-polarization factor, no thermal factor.

Principal peaks in the range 2θ from 10° to 90°, sorted by position:
2θ = 11.62°, rel. 100; 2θ = 13.95°, rel. 22; 2θ = 30.90°, rel. 47; 2θ = 36.30°, rel. 85; 2θ = 43.96°, rel. 51; 2θ = 54.92°, rel. 33

Structure:
```
data_Te2Mo3WSe4S2
_cell_length_a 3.3445
_cell_length_b 3.3445
_cell_length_c 38.0932
_cell_angle_alpha 90.00
_cell_angle_beta 90.00
_cell_angle_gamma 120.00
_symmetry_space_group_name_H-M 'P 3 m 1'
_symmetry_Int_Tables_number 156
loop_
_symmetry_equiv_pos_as_xyz
'x,y,z'
'-y,x-y,z'
'-x+y,-x,z'
'-y,-x,z'
'-x+y,y,z'
'x,x-y,z'
loop_
_atom_site_label
_atom_site_fract_x
_atom_site_fract_y
_atom_site_fract_z
Te1 0.0000 0.0000 0.0000
Te2 0.0000 0.0000 0.0996
Mo1 0.0000 0.0000 0.4861
Mo2 0.0000 0.0000 0.8618
Mo3 0.3333 0.6667 0.0498
W1 0.3333 0.6667 0.6740
Se1 0.0000 0.0000 0.6300
Se2 0.0000 0.0000 0.7180
Se3 0.3333 0.6667 0.8181
Se4 0.3333 0.6667 0.9057
S1 0.3333 0.6667 0.4463
S2 0.3333 0.6667 0.5259
```

***

Computed powder XRD pattern
Compound: Te2Mo3WSe2S4
Radiation: λ = 1.5418 Å (Cu Kα)
Structure: a DFT-relaxed cell (PBE, the Materials Project)
Kinematic intensities with the Lorentz-polarization factor, no thermal factor.

Principal peaks in the range 2θ from 10° to 90°, sorted by position:
2θ = 11.31°, rel. 100; 2θ = 13.58°, rel. 16; 2θ = 31.21°, rel. 35; 2θ = 36.31°, rel. 65; 2θ = 43.59°, rel. 44; 2θ = 55.51°, rel. 25

Structure:
```
data_Te2Mo3WSe2S4
_cell_length_a 3.3117
_cell_length_b 3.3117
_cell_length_c 39.1219
_cell_angle_alpha 90.00
_cell_angle_beta 90.00
_cell_angle_gamma 120.00
_symmetry_space_group_name_H-M 'P 3 m 1'
_symmetry_Int_Tables_number 156
loop_
_symmetry_equiv_pos_as_xyz
'x,y,z'
'-y,x-y,z'
'-x+y,-x,z'
'-y,-x,z'
'-x+y,y,z'
'x,x-y,z'
loop_
_atom_site_label
_atom_site_fract_x
_atom_site_fract_y
_atom_site_fract_z
Te1 0.0000 0.0000 0.0000
Te2 0.0000 0.0000 0.0982
Mo1 0.0000 0.0000 0.4835
Mo2 0.0000 0.0000 0.8579
Mo3 0.3333 0.6667 0.6714
W1 0.3333 0.6667 0.0491
Se1 0.3333 0.6667 0.8150
Se2 0.3333 0.6667 0.9008
S1 0.0000 0.0000 0.6323
S2 0.0000 0.0000 0.7105
S3 0.3333 0.6667 0.4444
S4 0.3333 0.6667 0.5225
```

***

Computed powder XRD pattern
Compound: Te2MoWSeS
Radiation: λ = 1.5418 Å (Cu Kα)
Structure: a DFT-relaxed cell (PBE, the Materials Project)
Kinematic intensities with the Lorentz-polarization factor, no thermal factor.

Principal peaks in the range 2θ from 10° to 90°, sorted by position:
2θ = 11.43°, rel. 100; 2θ = 30.40°, rel. 52; 2θ = 35.71°, rel. 95; 2θ = 38.43°, rel. 19; 2θ = 43.22°, rel. 52; 2θ = 53.98°, rel. 30

Structure:
```
data_Te2MoWSeS
_cell_length_a 3.3976
_cell_length_b 3.3976
_cell_length_c 38.7128
_cell_angle_alpha 90.00
_cell_angle_beta 90.00
_cell_angle_gamma 120.00
_symmetry_space_group_name_H-M 'P 3 m 1'
_symmetry_Int_Tables_number 156
loop_
_symmetry_equiv_pos_as_xyz
'x,y,z'
'-y,x-y,z'
'-x+y,-x,z'
'-y,-x,z'
'-x+y,y,z'
'x,x-y,z'
loop_
_atom_site_label
_atom_site_fract_x
_atom_site_fract_y
_atom_site_fract_z
Te1 0.0000 0.0000 0.0000
Te2 0.0000 0.0000 0.0973
Te3 0.3333 0.6667 0.4367
Te4 0.3333 0.6667 0.5335
Mo1 0.0000 0.0000 0.4850
Mo2 0.0000 0.0000 0.8608
W1 0.3333 0.6667 0.0487
W2 0.3333 0.6667 0.6729
Se1 0.3333 0.6667 0.8182
Se2 0.3333 0.6667 0.9034
S1 0.0000 0.0000 0.6340
S2 0.0000 0.0000 0.7118
```

***

Computed powder XRD pattern
Compound: Te2MoWSeS
Radiation: λ = 1.5418 Å (Cu Kα)
Structure: a DFT-relaxed cell (PBE, the Materials Project)
Kinematic intensities with the Lorentz-polarization factor, no thermal factor.

Principal peaks in the range 2θ from 10° to 90°, sorted by position:
2θ = 11.40°, rel. 100; 2θ = 18.29°, rel. 18; 2θ = 30.43°, rel. 58; 2θ = 35.72°, rel. 97; 2θ = 43.20°, rel. 54; 2θ = 54.05°, rel. 34

Structure:
```
data_Te2MoWSeS
_cell_length_a 3.3938
_cell_length_b 3.3938
_cell_length_c 38.8084
_cell_angle_alpha 90.00
_cell_angle_beta 90.00
_cell_angle_gamma 120.00
_symmetry_space_group_name_H-M 'P 3 m 1'
_symmetry_Int_Tables_number 156
loop_
_symmetry_equiv_pos_as_xyz
'x,y,z'
'-y,x-y,z'
'-x+y,-x,z'
'-y,-x,z'
'-x+y,y,z'
'x,x-y,z'
loop_
_atom_site_label
_atom_site_fract_x
_atom_site_fract_y
_atom_site_fract_z
Te1 0.0000 0.0000 0.0000
Te2 0.0000 0.0000 0.0966
Te3 0.0000 0.0000 0.3758
Te4 0.0000 0.0000 0.4724
Mo1 0.6667 0.3333 0.0483
Mo2 0.6667 0.3333 0.4241
W1 0.0000 0.0000 0.2362
W2 0.0000 0.0000 0.6119
Se1 0.6667 0.3333 0.1935
Se2 0.6667 0.3333 0.2789
S1 0.6667 0.3333 0.5731
S2 0.6667 0.3333 0.6508
```